# 1
Starting from a PBE-relaxed structure, the powder diffractogram of BaCdInSnPd was computed for CuKα.
Neutral-atom scattering factors, no anomalous dispersion.

```
BaCdInSnPd
1.0
5.0060 0.0000 0.0000
0.0000 5.0060 0.0000
0.0000 0.0000 11.1946
Ba Cd In Sn Pd
2 2 2 2 2
Cartesian
1.2515 1.2515 2.6485
3.7545 3.7545 8.5461
1.2515 1.2515 7.2770
3.7545 3.7545 3.9176
1.2515 1.2515 10.1678
3.7545 3.7545 1.0267
1.2515 3.7545 5.5973
3.7545 1.2515 5.5973
1.2515 3.7545 0.0000
3.7545 1.2515 0.0000
```

Main lines, by angle (2θ from 10° to 90°):
- 2.992 Å, 2θ 29.9, intensity 1000
- 2.503 Å, 2θ 35.9, intensity 544
- 2.443 Å, 2θ 36.8, intensity 115
- 2.195 Å, 2θ 41.1, intensity 165
- 1.920 Å, 2θ 47.4, intensity 214
- 1.770 Å, 2θ 51.6, intensity 189
- 1.651 Å, 2θ 55.7, intensity 115
- 1.523 Å, 2θ 60.8, intensity 213
- 1.207 Å, 2θ 79.4, intensity 87
- 1.119 Å, 2θ 87.1, intensity 88

---

# 2
Starting from a PBE-relaxed structure, the powder diffractogram of BaCdIn2Pt was computed for CuKα.
Neutral-atom scattering factors, no anomalous dispersion.

```
BaCdIn2Pt
1.0
4.9394 0.0000 0.0000
0.0000 4.9394 0.0000
0.0000 0.0000 11.4230
Ba Cd In Pt
2 2 4 2
Cartesian
1.2349 1.2349 2.5992
3.7046 3.7046 8.8237
1.2349 1.2349 7.3830
3.7046 3.7046 4.0400
1.2349 1.2349 10.2933
1.2349 3.7046 5.7115
3.7046 1.2349 5.7115
3.7046 3.7046 1.1296
1.2349 3.7046 0.0000
3.7046 1.2349 0.0000
```

Main lines, by angle (2θ from 10° to 90°):
- 5.711 Å, 2θ 15.5, intensity 233
- 3.016 Å, 2θ 29.6, intensity 430
- 2.980 Å, 2θ 30.0, intensity 1000
- 2.470 Å, 2θ 36.4, intensity 870
- 2.211 Å, 2θ 40.8, intensity 359
- 1.911 Å, 2θ 47.6, intensity 240
- 1.747 Å, 2θ 52.4, intensity 345
- 1.671 Å, 2θ 54.9, intensity 203
- 1.507 Å, 2θ 61.5, intensity 287
- 1.105 Å, 2θ 88.5, intensity 192

---

# 3
Starting from a PBE-relaxed structure, the powder diffractogram of Ba3Mg3Cd8 was computed for CuKα.
Neutral-atom scattering factors, no anomalous dispersion.

```
Ba3Mg3Cd8
1.0
-2.5682 5.1148 7.6082
2.5682 -5.1148 7.6082
2.5682 5.1148 -7.6082
Ba Mg Cd
3 3 8
Cartesian
0.0000 0.0000 0.0000
0.0000 0.0000 4.4540
0.0000 0.0000 10.7625
2.5682 3.2483 0.0000
0.0000 5.1148 0.0000
0.0000 1.8665 7.6082
2.5682 -1.4957 2.4544
2.5682 -2.1513 5.5739
2.5682 1.4957 2.4544
0.0000 2.9635 2.0343
2.5682 2.1513 5.5739
0.0000 3.6191 5.1538
0.0000 7.2661 2.0343
0.0000 6.6104 5.1538
```

Main lines, by angle (2θ from 10° to 90°):
- 7.608 Å, 2θ 11.6, intensity 326
- 3.609 Å, 2θ 24.7, intensity 239
- 3.052 Å, 2θ 29.3, intensity 557
- 2.949 Å, 2θ 30.3, intensity 686
- 2.929 Å, 2θ 30.5, intensity 553
- 2.841 Å, 2θ 31.5, intensity 1000
- 2.568 Å, 2θ 34.9, intensity 653
- 1.965 Å, 2θ 46.2, intensity 310
- 1.701 Å, 2θ 53.9, intensity 235
- 1.576 Å, 2θ 58.6, intensity 245